The following is a simulated X-ray diffraction stick pattern of PrSmB2Pt8. It was derived from the GGA-PBE geometry in OQMD, using λ = 1.5418 Å (Cu Kα).

Largest 6 diffraction maxima, most intense first, 2θ = 5–70°:
- 40.3°, intensity 100
- 37.8°, intensity 92
- 44.8°, intensity 52
- 35.0°, intensity 42
- 34.7°, intensity 37
- 68.3°, intensity 36

Atomic structure:
```
data_PrSmB2Pt8
_cell_length_a 5.4961
_cell_length_b 5.4961
_cell_length_c 7.6938
_cell_angle_alpha 90.00
_cell_angle_beta 90.00
_cell_angle_gamma 120.00
_symmetry_space_group_name_H-M 'P 6/m m m'
_symmetry_Int_Tables_number 191
_symmetry_space_group_name_Hall '-P 6 2'
loop_
_atom_site_label
_atom_site_type_symbol
_atom_site_fract_x
_atom_site_fract_y
_atom_site_fract_z
Pr1 Pr 0.0000 0.0000 0.0000
Sm1 Sm 0.0000 0.0000 0.5000
B1 B 0.3333 0.6667 0.0000
Pt1 Pt 0.0000 0.5000 0.1998
Pt2 Pt 0.3333 0.6667 0.5000
```

***

The following is a simulated X-ray diffraction stick pattern of Li2YCuAs2. It was derived from the GGA-PBE geometry in OQMD, using λ = 1.5418 Å (Cu Kα).

Largest 6 diffraction maxima, most intense first, 2θ = 5–70°:
- 36.8°, intensity 100
- 28.0°, intensity 62
- 43.1°, intensity 59
- 57.9°, intensity 26
- 24.5°, intensity 16
- 48.4°, intensity 15

Atomic structure:
```
data_Li2YCuAs2
_cell_length_a 4.2020
_cell_length_b 4.2020
_cell_length_c 6.5885
_cell_angle_alpha 90.00
_cell_angle_beta 90.00
_cell_angle_gamma 120.00
_symmetry_space_group_name_H-M 'P -3 m 1'
_symmetry_Int_Tables_number 164
_symmetry_space_group_name_Hall '-P 3 2"'
loop_
_atom_site_label
_atom_site_type_symbol
_atom_site_fract_x
_atom_site_fract_y
_atom_site_fract_z
Li1 Li 0.3333 0.6667 0.3542
Y1 Y 0.0000 0.0000 0.0000
Cu1 Cu 0.0000 0.0000 0.5000
As1 As 0.3333 0.6667 0.7456
```

***

The following is a simulated X-ray diffraction stick pattern of LiDy2Zn. It was derived from the GGA-PBE geometry in OQMD, using λ = 1.5418 Å (Cu Kα).

Largest 6 diffraction maxima, most intense first, 2θ = 5–70°:
- 35.2°, intensity 100
- 8.0°, intensity 92
- 31.1°, intensity 58
- 16.0°, intensity 48
- 39.7°, intensity 43
- 52.1°, intensity 21

Atomic structure:
```
data_LiDy2Zn
_cell_length_a 3.3201
_cell_length_b 3.3201
_cell_length_c 11.0720
_cell_angle_alpha 90.00
_cell_angle_beta 90.00
_cell_angle_gamma 120.00
_symmetry_space_group_name_H-M 'P -6 m 2'
_symmetry_Int_Tables_number 187
_symmetry_space_group_name_Hall 'P -6 2'
loop_
_atom_site_label
_atom_site_type_symbol
_atom_site_fract_x
_atom_site_fract_y
_atom_site_fract_z
Li1 Li 0.0000 0.0000 0.0000
Dy1 Dy 0.0000 0.0000 0.2863
Zn1 Zn 0.6667 0.3333 0.5000
```

***

The following is a simulated X-ray diffraction stick pattern of AgPbClO. It was derived from the GGA-PBE geometry in OQMD, using λ = 1.5418 Å (Cu Kα).

Largest 6 diffraction maxima, most intense first, 2θ = 5–70°:
- 31.0°, intensity 100
- 25.3°, intensity 88
- 35.1°, intensity 59
- 34.4°, intensity 57
- 33.6°, intensity 54
- 27.3°, intensity 53

Atomic structure:
```
data_AgPbClO
_cell_length_a 13.4447
_cell_length_b 3.6977
_cell_length_c 7.6082
_cell_angle_alpha 90.00
_cell_angle_beta 120.97
_cell_angle_gamma 90.00
_symmetry_space_group_name_H-M 'C 1 2/m 1'
_symmetry_Int_Tables_number 12
_symmetry_space_group_name_Hall '-C 2y'
loop_
_atom_site_label
_atom_site_type_symbol
_atom_site_fract_x
_atom_site_fract_y
_atom_site_fract_z
Ag1 Ag 0.1313 0.0000 0.1974
Pb1 Pb 0.1292 0.0000 0.7935
Cl1 Cl 0.1170 0.5000 0.4323
O1 O 0.1697 0.5000 0.0272
```